Entry 1:
# AgI
Theoretical XRD peak list, Cu Kα (λ = 1.5418 Å). Input: a cell relaxed with GGA-PBE.
Intensities are scaled so that the largest is 100.

Top 8 peaks for 2θ from 10° to 90°, low angle first:
| 2theta | I_rel |
| --- | --- |
| 25.00 | 1 |
| 28.95 | 100 |
| 41.40 | 75 |
| 51.30 | 26 |
| 59.98 | 12 |
| 67.96 | 33 |
| 75.50 | 24 |
| 89.97 | 8 |

Structure:
```
AgI
1.0
6.1690 0.0000 0.0000
0.0000 6.1690 0.0000
0.0000 0.0000 6.1690
Ag I
4 4
Cartesian
0.0000 0.0000 0.0000
0.0000 3.0845 3.0845
3.0845 0.0000 3.0845
3.0845 3.0845 0.0000
0.0000 0.0000 3.0845
0.0000 3.0845 0.0000
3.0845 0.0000 0.0000
3.0845 3.0845 3.0845
```



Entry 2:
# CaH2CClO3
Theoretical XRD peak list, Cu Kα (λ = 1.5418 Å). Input: a cell relaxed with GGA-PBE.
Intensities are scaled so that the largest is 100.

Top 8 peaks for 2θ from 10° to 90°, low angle first:
| 2theta | I_rel |
| --- | --- |
| 16.51 | 45 |
| 23.73 | 31 |
| 29.50 | 100 |
| 30.53 | 79 |
| 33.38 | 31 |
| 33.94 | 36 |
| 34.87 | 37 |
| 38.19 | 50 |

Structure:
```
CaH2CClO3
1.0
4.9224 -3.7496 0.0000
4.9224 3.7496 0.0000
-4.6484 0.0000 5.3688
Ca H C Cl O
2 4 2 2 6
Cartesian
-0.4728 0.0000 2.0998
5.6691 0.0000 3.2690
-0.4861 1.7414 5.2092
5.6824 1.7414 0.1596
-0.4861 -1.7414 5.2092
5.6824 -1.7414 0.1596
2.5982 0.7794 2.6844
2.5982 -0.7794 2.6844
-1.6994 0.0000 4.6692
6.8957 0.0000 0.6996
4.9224 2.3545 0.0000
1.4666 1.3474 2.7234
3.7297 1.3474 2.6454
1.4666 -1.3474 2.7234
3.7297 -1.3474 2.6454
4.9224 -2.3545 0.0000
```